Simulated powder X-ray diffraction pattern
Compound: Ho3Ga2
Radiation: Cu Kα
Structure: a structure optimized by DFT (PBE)
No peak broadening, texture or thermal motion is included.

Largest 8 diffraction maxima, by angle, 2θ = 10–80°:
two_theta  I_rel
32.49  100
32.84  29
33.27  41
34.41  92
34.67  26
36.81  29
54.19  18
61.98  19

Structure:
a = 11.050 Å, b = 11.050 Å, c = 11.050 Å
α = 116.86°, β = 116.86°, γ = 95.53°
Sites, in units of the cell vectors:
Ho  0.067  0.931  0.271
Ho  0.069  0.339  0.136
Ho  0.147  0.647  0.500
Ho  0.161  0.431  0.864
Ho  0.169  0.331  0.500
Ho  0.204  0.933  0.864
Ho  0.296  0.161  0.729
Ho  0.331  0.831  0.163
Ho  0.339  0.204  0.271
Ho  0.353  0.853  0.500
Ho  0.431  0.567  0.271
Ho  0.433  0.704  0.864
Ho  0.567  0.296  0.136
Ho  0.569  0.433  0.729
Ho  0.647  0.147  0.500
Ho  0.661  0.796  0.729
Ho  0.669  0.169  0.837
Ho  0.704  0.839  0.271
Ho  0.796  0.067  0.136
Ho  0.831  0.669  0.500
Ho  0.839  0.569  0.136
Ho  0.853  0.353  0.500
Ho  0.931  0.661  0.864
Ho  0.933  0.069  0.729
Ga  0.000  0.000  0.000
Ga  0.023  0.879  0.500
Ga  0.117  0.617  0.733
Ga  0.121  0.621  0.144
Ga  0.250  0.250  0.000
Ga  0.379  0.523  0.500
Ga  0.383  0.117  0.500
Ga  0.477  0.977  0.856
Ga  0.500  0.500  0.000
Ga  0.523  0.023  0.144
Ga  0.617  0.883  0.500
Ga  0.621  0.477  0.500
Ga  0.750  0.750  0.000
Ga  0.879  0.379  0.856
Ga  0.883  0.383  0.267
Ga  0.977  0.121  0.500

***

Simulated powder X-ray diffraction pattern
Compound: SrMg6SiO8
Radiation: Cu Kα
Structure: a structure optimized by DFT (PBE)
No peak broadening, texture or thermal motion is included.

Largest 8 diffraction maxima, by angle, 2θ = 10–80°:
two_theta  I_rel
22.06  19
34.57  36
39.89  100
40.62  44
57.68  30
58.24  54
69.02  14
72.92  25

Structure:
a = 4.520 Å, b = 4.520 Å, c = 8.884 Å
α = 90.00°, β = 90.00°, γ = 90.00°
Sites, in units of the cell vectors:
Sr  0.000  0.000  0.000
Mg  0.000  0.000  0.500
Mg  0.000  0.500  0.265
Mg  0.000  0.500  0.735
Mg  0.500  0.000  0.265
Mg  0.500  0.000  0.735
Mg  0.500  0.500  0.500
Si  0.500  0.500  0.000
O  0.000  0.000  0.273
O  0.000  0.000  0.727
O  0.000  0.500  0.000
O  0.000  0.500  0.500
O  0.500  0.000  0.000
O  0.500  0.000  0.500
O  0.500  0.500  0.265
O  0.500  0.500  0.735